[1]
Theoretical PXRD pattern
Compound: Li2Mn2Si3O10
Radiation: λ = 1.5418 Å (Cu Kα)
Structure: DFT lattice parameters and positions (PBE+U)
Intensities are scaled so that the largest is 100.

Main lines, by angle (10 to 90 degrees two-theta):
| Position (°2θ) | d/Å | intensity | index |
| --- | --- | --- | --- |
| 10.96 | 8.070 | 67 | 0 0 2 |
| 18.75 | 4.731 | 100 | 2 0 0 |
| 18.98 | 4.675 | 76 | 1 1 -1 |
| 21.05 | 4.221 | 45 | 1 1 -2 |
| 21.89 | 4.059 | 58 | 1 1 2 |
| 28.21 | 3.164 | 46 | 1 1 -4 |
| 32.63 | 2.744 | 70 | 3 1 -1 |
| 33.31 | 2.690 | 52 | 0 0 6 |

Crystal structure
```
data_Li2Mn2Si3O10
_space_group_name_H-M_alt 'C 1 c 1'
_space_group_IT_number 9
_space_group_name_Hall 'C -2yc'
_cell_length_a 9.499
_cell_length_b 5.600
_cell_length_c 16.202
_cell_angle_alpha 90.00
_cell_angle_beta 94.99
_cell_angle_gamma 90.00
loop_
_atom_site_label
_atom_site_type_symbol
_atom_site_fract_x
_atom_site_fract_y
_atom_site_fract_z
_atom_site_occupancy
Li1 Li 0.000 0.102 0.000 1
Li2 Li 0.066 0.395 0.224 1
Mn1 Mn 0.218 0.102 0.697 1
Mn2 Mn 0.397 0.118 0.355 1
Si1 Si 0.226 0.388 0.872 1
Si2 Si 0.309 0.114 0.024 1
Si3 Si 0.387 0.411 0.175 1
O1 O 0.028 0.063 0.204 1
O2 O 0.085 0.473 0.338 1
O3 O 0.194 0.259 0.961 1
O4 O 0.210 0.028 0.584 1
O5 O 0.238 0.447 0.680 1
O6 O 0.258 0.151 0.815 1
O7 O 0.368 0.448 0.385 1
O8 O 0.377 0.158 0.230 1
O9 O 0.405 0.321 0.078 1
O10 O 0.409 0.055 0.472 1
```

---

[2]
Theoretical PXRD pattern
Compound: Li2MnSi4O11
Radiation: λ = 1.5418 Å (Cu Kα)
Structure: DFT lattice parameters and positions (PBE+U)
Intensities are scaled so that the largest is 100.

Main lines, by angle (10 to 90 degrees two-theta):
| Position (°2θ) | d/Å | intensity | index |
| --- | --- | --- | --- |
| 16.97 | 5.226 | 50 | 2 0 0 |
| 17.76 | 4.995 | 71 | 1 1 1 |
| 18.56 | 4.781 | 49 | 0 2 0 |
| 21.93 | 4.052 | 36 | 0 0 2 |
| 23.78 | 3.741 | 63 | 1 1 -2 |
| 27.38 | 3.258 | 85 | 3 1 -1 |
| 28.89 | 3.091 | 100 | 0 2 2 |
| 31.33 | 2.855 | 42 | 3 1 1 |

Crystal structure
```
data_Li2MnSi4O11
_space_group_name_H-M_alt 'C 1 2/c 1'
_space_group_IT_number 15
_space_group_name_Hall '-C 2yc'
_cell_length_a 10.672
_cell_length_b 9.562
_cell_length_c 8.276
_cell_angle_alpha 90.00
_cell_angle_beta 101.66
_cell_angle_gamma 90.00
loop_
_atom_site_label
_atom_site_type_symbol
_atom_site_fract_x
_atom_site_fract_y
_atom_site_fract_z
_atom_site_occupancy
Li1 Li 0.000 0.080 0.250 1
Li2 Li 0.000 0.357 0.250 1
Mn1 Mn 0.250 0.250 0.500 1
Si1 Si 0.045 0.208 0.934 1
Si2 Si 0.223 0.440 0.838 1
O1 O 0.000 0.134 0.750 1
O2 O 0.063 0.217 0.453 1
O3 O 0.106 0.361 0.908 1
O4 O 0.143 0.094 0.033 1
O5 O 0.198 0.392 0.326 1
O6 O 0.236 0.385 0.659 1
```

---

[3]
Theoretical PXRD pattern
Compound: Li7Mn11Si6O32
Radiation: λ = 1.5418 Å (Cu Kα)
Structure: DFT lattice parameters and positions (PBE+U)
Intensities are scaled so that the largest is 100.

Main lines, by angle (10 to 90 degrees two-theta):
| Position (°2θ) | d/Å | intensity | index |
| --- | --- | --- | --- |
| 15.19 | 5.831 | 37 | 1 0 -1 |
| 24.10 | 3.693 | 37 | 1 -2 0 |
| 35.55 | 2.525 | 35 | 1 1 3 |
| 35.82 | 2.507 | 100 | -1 3 1 |
| 36.01 | 2.494 | 53 | 3 -1 1 |
| 36.27 | 2.477 | 77 | 3 1 -1 |
| 43.85 | 2.064 | 51 | 4 0 0 |
| 63.75 | 1.460 | 44 | 4 4 0 |

Crystal structure
```
data_Li7Mn11Si6O32
_space_group_name_H-M_alt 'P 1'
_space_group_IT_number 1
_space_group_name_Hall 'P 1'
_cell_length_a 8.256
_cell_length_b 8.263
_cell_length_c 8.306
_cell_angle_alpha 88.70
_cell_angle_beta 89.29
_cell_angle_gamma 90.00
loop_
_atom_site_label
_atom_site_type_symbol
_atom_site_fract_x
_atom_site_fract_y
_atom_site_fract_z
_atom_site_occupancy
Li1 Li 0.000 0.000 0.000 1
Li2 Li 0.008 0.490 0.502 1
Li3 Li 0.130 0.124 0.368 1
Li4 Li 0.381 0.614 0.627 1
Li5 Li 0.513 0.495 0.993 1
Li6 Li 0.637 0.867 0.113 1
Li7 Li 0.881 0.368 0.871 1
Mn1 Mn 0.125 0.861 0.632 1
Mn2 Mn 0.247 0.259 0.743 1
Mn3 Mn 0.265 0.742 0.249 1
Mn4 Mn 0.373 0.133 0.111 1
Mn5 Mn 0.378 0.871 0.871 1
Mn6 Mn 0.386 0.371 0.365 1
Mn7 Mn 0.506 0.985 0.490 1
Mn8 Mn 0.750 0.728 0.758 1
Mn9 Mn 0.762 0.240 0.230 1
Mn10 Mn 0.874 0.118 0.622 1
Mn11 Mn 0.885 0.856 0.371 1
Si1 Si 0.135 0.622 0.881 1
Si2 Si 0.136 0.375 0.126 1
Si3 Si 0.627 0.127 0.864 1
Si4 Si 0.634 0.368 0.621 1
Si5 Si 0.644 0.608 0.365 1
Si6 Si 0.885 0.616 0.128 1
O1 O 0.105 0.100 0.626 1
O2 O 0.116 0.862 0.399 1
O3 O 0.118 0.607 0.109 1
O4 O 0.120 0.628 0.669 1
O5 O 0.135 0.166 0.112 1
O6 O 0.137 0.847 0.869 1
O7 O 0.138 0.409 0.904 1
O8 O 0.157 0.385 0.343 1
O9 O 0.352 0.641 0.885 1
O10 O 0.356 0.860 0.638 1
O11 O 0.359 0.372 0.128 1
O12 O 0.382 0.145 0.360 1
O13 O 0.382 0.898 0.100 1
O14 O 0.408 0.108 0.854 1
O15 O 0.416 0.370 0.596 1
O16 O 0.432 0.604 0.365 1
O17 O 0.609 0.900 0.862 1
O18 O 0.617 0.130 0.073 1
O19 O 0.621 0.347 0.831 1
O20 O 0.630 0.383 0.388 1
O21 O 0.636 0.139 0.632 1
O22 O 0.645 0.581 0.591 1
O23 O 0.652 0.823 0.371 1
O24 O 0.673 0.599 0.148 1
O25 O 0.839 0.115 0.852 1
O26 O 0.850 0.345 0.612 1
O27 O 0.870 0.617 0.356 1
O28 O 0.876 0.087 0.384 1
O29 O 0.888 0.876 0.610 1
O30 O 0.892 0.832 0.145 1
O31 O 0.909 0.624 0.915 1
O32 O 0.922 0.401 0.132 1
```

---

[4]
Theoretical PXRD pattern
Compound: Li9Mn5Si2O16
Radiation: λ = 1.5418 Å (Cu Kα)
Structure: DFT lattice parameters and positions (PBE+U)
Intensities are scaled so that the largest is 100.

Main lines, by angle (10 to 90 degrees two-theta):
| Position (°2θ) | d/Å | intensity | index |
| --- | --- | --- | --- |
| 18.33 | 4.841 | 100 | 1 0 1 |
| 33.84 | 2.649 | 16 | 0 2 0 |
| 36.80 | 2.442 | 13 | 1 1 -3 |
| 36.88 | 2.437 | 10 | 0 1 4 |
| 40.55 | 2.224 | 35 | 1 -2 1 |
| 44.72 | 2.026 | 27 | 2 1 -2 |
| 44.96 | 2.016 | 26 | 1 1 5 |
| 61.85 | 1.500 | 16 | 0 3 4 |

Crystal structure
```
data_Li9Mn5Si2O16
_space_group_name_H-M_alt 'P -1'
_space_group_IT_number 2
_space_group_name_Hall '-P 1'
_cell_length_a 5.077
_cell_length_b 5.330
_cell_length_c 10.980
_cell_angle_alpha 87.29
_cell_angle_beta 80.10
_cell_angle_gamma 84.01
loop_
_atom_site_label
_atom_site_type_symbol
_atom_site_fract_x
_atom_site_fract_y
_atom_site_fract_z
_atom_site_occupancy
Li1 Li 0.000 0.000 0.000 1
Li2 Li 0.065 0.754 0.438 1
Li3 Li 0.182 0.249 0.309 1
Li4 Li 0.327 0.730 0.182 1
Li5 Li 0.415 0.264 0.058 1
Mn1 Mn 0.244 0.000 0.758 1
Mn2 Mn 0.371 0.500 0.629 1
Mn3 Mn 0.500 0.000 0.500 1
Si1 Si 0.120 0.502 0.880 1
O1 O 0.042 0.397 0.734 1
O2 O 0.045 0.181 0.152 1
O3 O 0.170 0.894 0.597 1
O4 O 0.187 0.594 0.027 1
O5 O 0.294 0.397 0.470 1
O6 O 0.303 0.182 0.898 1
O7 O 0.420 0.894 0.342 1
O8 O 0.433 0.605 0.791 1
```

---

[5]
Theoretical PXRD pattern
Compound: LiMn2Si2O7
Radiation: λ = 1.5418 Å (Cu Kα)
Structure: DFT lattice parameters and positions (PBE+U)
Intensities are scaled so that the largest is 100.

Main lines, by angle (10 to 90 degrees two-theta):
| Position (°2θ) | d/Å | intensity | index |
| --- | --- | --- | --- |
| 20.15 | 4.407 | 100 | 1 1 0 |
| 20.98 | 4.233 | 36 | 1 1 -1 |
| 21.18 | 4.195 | 32 | 0 2 0 |
| 22.17 | 4.009 | 73 | 0 2 1 |
| 32.71 | 2.737 | 79 | 1 1 -4 |
| 33.78 | 2.653 | 60 | 1 1 4 |
| 34.64 | 2.590 | 43 | 2 0 0 |
| 36.51 | 2.461 | 57 | 1 3 0 |

Crystal structure
```
data_LiMn2Si2O7
_space_group_name_H-M_alt 'C 1 c 1'
_space_group_IT_number 9
_space_group_name_Hall 'C -2yc'
_cell_length_a 5.183
_cell_length_b 8.390
_cell_length_c 13.629
_cell_angle_alpha 90.00
_cell_angle_beta 92.17
_cell_angle_gamma 90.00
loop_
_atom_site_label
_atom_site_type_symbol
_atom_site_fract_x
_atom_site_fract_y
_atom_site_fract_z
_atom_site_occupancy
Li1 Li 0.000 0.183 0.000 1
Mn1 Mn 0.013 0.470 0.840 1
Mn2 Mn 0.482 0.001 0.104 1
Si1 Si 0.476 0.344 0.727 1
Si2 Si 0.494 0.324 0.940 1
O1 O 0.248 0.481 0.732 1
O2 O 0.260 0.070 0.236 1
O3 O 0.303 0.124 0.444 1
O4 O 0.309 0.485 0.937 1
O5 O 0.397 0.197 0.018 1
O6 O 0.435 0.241 0.629 1
O7 O 0.443 0.233 0.829 1
```